[1]
# CdCuCl6
Theoretical XRD peak list, CuKα. Input: a cell relaxed with GGA-PBE.
Peak positions follow from Bragg's law for the DFT cell and can differ from measured ones.

Principal peaks in the range 2θ = 10–90°, in order of rising 2θ:
2θ 16.70, intensity 1000; 2θ 20.50, intensity 515; 2θ 20.70, intensity 620; 2θ 24.46, intensity 873; 2θ 29.91, intensity 386; 2θ 33.33, intensity 363; 2θ 36.79, intensity 339; 2θ 42.85, intensity 365; 2θ 45.79, intensity 535; 2θ 53.49, intensity 349

Structure:
```
CdCuCl6
1.0
6.002 0.000 0.000
-0.056 6.364 0.000
-2.950 -1.945 5.309
Cd Cu Cl
1 1 6
Direct
0.000 0.000 0.000
0.500 0.500 0.000
0.239 0.705 0.812
0.247 0.017 0.465
0.269 0.415 0.154
0.731 0.585 0.846
0.753 0.983 0.535
0.761 0.295 0.188
```

---

[2]
# CdCu2Cl4
Theoretical XRD peak list, CuKα. Input: a cell relaxed with GGA-PBE.
Peak positions follow from Bragg's law for the DFT cell and can differ from measured ones.

Principal peaks in the range 2θ = 10–90°, in order of rising 2θ:
2θ 16.31, intensity 140; 2θ 18.43, intensity 1000; 2θ 23.15, intensity 566; 2θ 29.75, intensity 557; 2θ 32.97, intensity 413; 2θ 33.37, intensity 556; 2θ 44.99, intensity 222; 2θ 47.62, intensity 862; 2θ 51.20, intensity 156; 2θ 53.31, intensity 277

Structure:
```
CdCu2Cl4
1.0
-3.842 3.842 3.088
3.842 -3.842 3.088
3.842 3.842 -3.088
Cd Cu Cl
1 2 4
Direct
0.000 0.000 0.000
0.250 0.750 0.500
0.750 0.250 0.500
0.130 0.311 0.441
0.311 0.870 0.181
0.689 0.130 0.819
0.870 0.689 0.559
```

---

[3]
# Rb4Cd3CuCl12
Theoretical XRD peak list, CuKα. Input: a cell relaxed with GGA-PBE.
Peak positions follow from Bragg's law for the DFT cell and can differ from measured ones.

Principal peaks in the range 2θ = 10–90°, in order of rising 2θ:
2θ 17.06, intensity 153; 2θ 24.21, intensity 1000; 2θ 29.77, intensity 145; 2θ 34.51, intensity 748; 2θ 42.60, intensity 451; 2θ 49.60, intensity 494; 2θ 55.94, intensity 204; 2θ 61.83, intensity 162; 2θ 67.41, intensity 229; 2θ 83.10, intensity 209

Structure:
```
Rb4Cd3CuCl12
1.0
-5.198 5.198 5.198
5.198 -5.198 5.198
5.198 5.198 -5.198
Rb Cd Cu Cl
4 3 1 12
Direct
0.000 0.000 0.500
0.000 0.500 0.000
0.500 0.000 0.000
0.500 0.500 0.500
0.000 0.500 0.500
0.500 0.000 0.500
0.500 0.500 0.000
0.000 0.000 0.000
0.000 0.240 0.240
0.000 0.760 0.760
0.240 0.000 0.240
0.240 0.240 0.000
0.250 0.500 0.750
0.250 0.750 0.500
0.500 0.250 0.750
0.500 0.750 0.250
0.750 0.250 0.500
0.750 0.500 0.250
0.760 0.000 0.760
0.760 0.760 0.000
```